Record 1
# LaPr2B2N4
Simulated X-ray diffraction stick pattern, Cu Kα (weighted mean of Kα1 and Kα2). Input: a cell relaxed with PBE.

Peak list (10 most intense, 10 to 80 degrees two-theta, by angle)
| 2θ/deg | intensity | hkl |
| --- | --- | --- |
| 26.13 | 16.6 | 1 0 1 |
| 28.15 | 34.1 | 0 2 0 |
| 28.31 | 64.6 | 0 1 3 |
| 33.05 | 100.0 | 1 1 2 |
| 38.78 | 31.6 | 1 2 1 |
| 48.88 | 23.0 | 1 0 5 |
| 49.92 | 15.6 | 0 3 3 |
| 53.00 | 23.2 | 1 3 2 |
| 57.35 | 21.6 | 1 2 5 |
| 59.19 | 25.6 | 2 2 0 |

Atomic structure:
a b c (Å): 3.591 6.341 10.899
angles (deg): 90.00 90.00 90.00
Space group Immm (No. 71)
One atom of each set of equivalent atoms:
La 0.000 0.000 0.000 x2
Pr 0.000 0.500 0.201 x4
B 0.000 0.142 0.500 x4
N 0.000 0.255 0.381 x8


Record 2
# LaNdB4Os4
Simulated X-ray diffraction stick pattern, Cu Kα (weighted mean of Kα1 and Kα2). Input: a cell relaxed with PBE.

Peak list (10 most intense, 10 to 80 degrees two-theta, by angle)
| 2θ/deg | intensity | hkl |
| --- | --- | --- |
| 18.72 | 19.2 | 1 1 1 |
| 31.31 | 91.8 | 1 1 3 |
| 33.42 | 100.0 | 2 2 0 |
| 39.27 | 32.6 | 0 4 0 |
| 42.14 | 45.0 | 1 3 3 |
| 50.45 | 24.6 | 3 1 3 |
| 58.41 | 17.2 | 3 3 3 |
| 58.96 | 15.1 | 1 5 3 |
| 67.48 | 14.0 | 2 6 0 |
| 70.20 | 16.2 | 4 4 0 |

Atomic structure:
a b c (Å): 6.609 9.176 10.129
angles (deg): 90.00 90.00 90.00
Space group F222 (No. 22)
One atom of each set of equivalent atoms:
La 0.000 0.000 0.000 x4
Nd 0.250 0.250 0.250 x4
B 0.000 0.183 0.500 x8
B 0.250 0.066 0.750 x8
Os 0.000 0.000 0.363 x8
Os 0.250 0.250 0.613 x8


Record 3
# LaNdB2Pd6Pt2
Simulated X-ray diffraction stick pattern, Cu Kα (weighted mean of Kα1 and Kα2). Input: a cell relaxed with PBE.

Peak list (10 most intense, 10 to 80 degrees two-theta, by angle)
| 2θ/deg | intensity | hkl |
| --- | --- | --- |
| 29.91 | 19.7 | 1 0 2 |
| 32.59 | 26.7 | 1 1 0 |
| 34.68 | 39.4 | 1 1 1 |
| 35.08 | 28.6 | 0 0 3 |
| 37.81 | 44.6 | 2 0 0 |
| 39.66 | 24.5 | 2 0 1 |
| 40.01 | 20.3 | 1 0 3 |
| 40.38 | 100.0 | 1 1 2 |
| 63.45 | 26.3 | 3 0 2 |
| 68.27 | 25.6 | 2 2 0 |

Atomic structure:
a b c (Å): 5.4951 5.4951 7.6744
angles (deg): 90.00 90.00 120.00
Space group P6/mmm (No. 191)
One atom of each set of equivalent atoms:
La 0.0000 0.0000 0.0000 x1
Nd 0.0000 0.0000 0.5000 x1
B 0.3333 0.6667 0.5000 x2
Pd 0.0000 0.5000 0.3044 x6
Pt 0.3333 0.6667 0.0000 x2


Record 4
# LaNdB2Pd2Pt6
Simulated X-ray diffraction stick pattern, Cu Kα (weighted mean of Kα1 and Kα2). Input: a cell relaxed with PBE.

Peak list (10 most intense, 10 to 80 degrees two-theta, by angle)
| 2θ/deg | intensity | hkl |
| --- | --- | --- |
| 29.78 | 47.9 | 1 0 2 |
| 34.90 | 31.4 | 0 0 3 |
| 37.69 | 100.0 | 2 0 0 |
| 39.53 | 20.9 | 2 0 1 |
| 40.22 | 65.0 | 1 1 2 |
| 44.65 | 41.5 | 2 0 2 |
| 52.30 | 33.1 | 2 0 3 |
| 68.05 | 28.5 | 2 2 0 |
| 73.04 | 26.3 | 2 0 5 |
| 78.81 | 18.4 | 2 2 3 |

Atomic structure:
a b c (Å): 5.5111 5.5111 7.7131
angles (deg): 90.00 90.00 120.00
Space group P6/mmm (No. 191)
One atom of each set of equivalent atoms:
La 0.0000 0.0000 0.0000 x1
Nd 0.0000 0.0000 0.5000 x1
B 0.3333 0.6667 0.0000 x2
Pd 0.3333 0.6667 0.5000 x2
Pt 0.0000 0.5000 0.1991 x6